No. 1
Structure and calculated XRD peak list of SrAg6O4 (DFT lattice parameters and positions (PBE); copper Kα).
Peak positions follow from Bragg's law for the DFT cell and can differ from measured ones.

Peak list (10 most intense, 5 to 70 degrees two-theta, in order of rising 2θ)
2θ (°)  I (rel.)  h k l
30.0  350  2 1 1
33.0  329  1 0 3
33.4  1000  1 4 1
34.0  521  2 0 2
34.8  861  2 1 2
35.1  636  0 4 2
39.6  422  1 3 3
40.0  317  2 4 0
40.3  250  0 0 4
58.1  401  2 4 4

Crystal structure
a = 6.5310 Å, b = 12.4620 Å, c = 8.9592 Å
α = 90.00°, β = 90.00°, γ = 90.00°
Space group Pnna (No. 52)
Asymmetric unit:
Sr  0.2500  0.0000  0.1157 x4
Ag  0.0000  0.0000  0.5000 x4
Ag  0.0792  0.2394  0.4618 x8
Ag  0.0943  0.7500  0.2500 x4
Ag  0.2078  0.6228  0.7402 x8
O  0.0480  0.1173  0.9170 x8
O  0.0981  0.1033  0.3261 x8


No. 2
Structure and calculated XRD peak list of YAl6Ag (DFT lattice parameters and positions (PBE); copper Kα).
Peak positions follow from Bragg's law for the DFT cell and can differ from measured ones.

Peak list (10 most intense, 5 to 70 degrees two-theta, in order of rising 2θ)
2θ (°)  I (rel.)  h k l
16.8  190  1 0 0
25.6  581  1 0 1
29.2  261  1 1 0
33.9  255  2 0 0
39.0  230  0 0 2
39.3  1000  2 0 1
49.5  117  1 1 2
49.7  147  2 1 1
52.6  139  2 0 2
60.6  172  2 2 0

Crystal structure
a = 6.1078 Å, b = 6.1078 Å, c = 4.6164 Å
α = 90.00°, β = 90.00°, γ = 120.00°
Space group P-6m2 (No. 187)
Asymmetric unit:
Y  0.0000  0.0000  0.0000 x1
Al  0.3643  0.1822  0.5000 x3
Al  0.5025  0.0050  0.0000 x3
Ag  0.3333  0.6667  0.5000 x1


No. 3
Structure and calculated XRD peak list of Ho3Er2Mg3 (DFT lattice parameters and positions (PBE); copper Kα).
Peak positions follow from Bragg's law for the DFT cell and can differ from measured ones.

Peak list (10 most intense, 5 to 70 degrees two-theta, in order of rising 2θ)
2θ (°)  I (rel.)  h k l
15.1  369  0 0 2
29.7  227  0 2 2
30.2  185  1 2 0
32.5  362  2 0 0
33.9  1000  1 2 2
34.7  428  1 0 4
44.6  149  2 2 2
53.8  169  0 2 6
58.9  205  3 2 2
64.3  197  2 2 6

Crystal structure
a = 5.5056 Å, b = 7.0238 Å, c = 11.6972 Å
α = 90.00°, β = 90.00°, γ = 90.00°
Space group Amm2 (No. 38)
Asymmetric unit:
Ho  0.0000  0.0000  0.0000 x2
Ho  0.5000  0.2493  0.0718 x4
Er  0.0000  0.0000  0.4851 x2
Er  0.5000  0.0000  0.8212 x2
Mg  0.0000  0.2369  0.7398 x4
Mg  0.5000  0.0000  0.3196 x2


No. 4
Structure and calculated XRD peak list of Co3Mo3C (DFT lattice parameters and positions (PBE); copper Kα).
Peak positions follow from Bragg's law for the DFT cell and can differ from measured ones.

Peak list (10 most intense, 5 to 70 degrees two-theta, in order of rising 2θ)
2θ (°)  I (rel.)  h k l
32.4  96  4 0 0
35.4  156  3 3 1
39.9  415  4 2 2
42.4  1000  3 3 3
46.4  428  4 4 0
49.4  78  4 4 2
55.0  50  6 2 2
59.7  63  5 5 1
64.7  82  7 3 1
69.5  101  7 3 3

Crystal structure
a = 11.0665 Å, b = 11.0665 Å, c = 11.0665 Å
α = 90.00°, β = 90.00°, γ = 90.00°
Space group Fd-3m (No. 227, origin choice 2)
Asymmetric unit:
Co  0.0000  0.0000  0.0000 x16
Co  0.0451  0.0451  0.2049 x32
Mo  0.0760  0.3750  0.8750 x48
C  0.0000  0.0000  0.5000 x16